Record 1
Starting from the PBE geometry in Alexandria, the powder X-ray diffraction pattern of Na2YTeS4 was simulated for Cu Kα, 1.54184 Å.

Largest 10 diffraction maxima, by angle, 10° ≤ 2θ ≤ 90°:
Position (°2θ)  I_rel
13.0  60
13.7  91
24.1  35
26.1  41
29.3  100
31.9  82
32.1  82
42.1  40
44.0  61
45.8  58

Structure:
Unit cell a=7.930 b=7.930 c=7.977 alpha=117.30 beta=117.30 gamma=89.55
Fractional positions:
Na1 0.000 0.000 0.000
Na2 0.000 0.000 0.500
Na3 0.000 0.500 0.000
Na4 0.500 0.000 0.500
Y1 0.500 0.500 0.000
Y2 0.500 0.500 0.500
Te1 0.000 0.500 0.500
Te2 0.500 0.000 0.000
S1 0.226 0.716 0.475
S2 0.266 0.285 0.542
S3 0.284 0.774 0.025
S4 0.285 0.266 0.042
S5 0.715 0.734 0.958
S6 0.716 0.226 0.975
S7 0.734 0.715 0.458
S8 0.774 0.284 0.525

---

Record 2
Starting from the PBE geometry in Alexandria, the powder X-ray diffraction pattern of ThRu2C was simulated for Cu Kα, 1.54184 Å.

Largest 10 diffraction maxima, by angle, 10° ≤ 2θ ≤ 90°:
Position (°2θ)  I_rel
20.8  15
34.3  100
35.3  43
35.4  46
38.4  62
50.9  33
54.0  17
62.7  18
66.2  19
69.7  22

Structure:
Unit cell a=4.706 b=4.706 c=3.297 alpha=90.00 beta=90.00 gamma=114.60
Fractional positions:
Th1 0.000 0.000 0.000
Ru1 0.340 0.660 0.500
Ru2 0.660 0.340 0.500
C1 0.500 0.500 0.000

---

Record 3
Starting from the PBE geometry in Alexandria, the powder X-ray diffraction pattern of TiInS2 was simulated for Cu Kα, 1.54184 Å.

Largest 10 diffraction maxima, by angle, 10° ≤ 2θ ≤ 90°:
Position (°2θ)  I_rel
19.2  46
23.7  47
24.3  38
26.8  39
27.6  45
28.6  42
31.7  100
32.3  91
39.2  44
45.3  32

Structure:
Unit cell a=7.394 b=7.394 c=15.157 alpha=96.06 beta=96.06 gamma=88.70
Fractional positions:
Ti1 0.120 0.690 0.824
Ti2 0.310 0.880 0.676
Ti3 0.312 0.445 0.674
Ti4 0.445 0.312 0.174
Ti5 0.555 0.688 0.826
Ti6 0.688 0.555 0.326
Ti7 0.690 0.120 0.324
Ti8 0.880 0.310 0.176
In1 0.128 0.711 0.104
In2 0.147 0.332 0.397
In3 0.289 0.872 0.396
In4 0.332 0.147 0.897
In5 0.668 0.853 0.103
In6 0.711 0.128 0.604
In7 0.853 0.668 0.603
In8 0.872 0.289 0.896
S1 0.039 0.424 0.731
S2 0.054 0.946 0.750
S3 0.141 0.314 0.094
S4 0.244 0.641 0.561
S5 0.314 0.141 0.594
S6 0.359 0.756 0.939
S7 0.404 0.596 0.250
S8 0.424 0.039 0.231
S9 0.576 0.961 0.769
S10 0.596 0.404 0.750
S11 0.641 0.244 0.061
S12 0.686 0.859 0.406
S13 0.756 0.359 0.439
S14 0.859 0.686 0.906
S15 0.946 0.054 0.250
S16 0.961 0.576 0.269